No. 1
LaBeGa: theoretical X-ray powder pattern (Cu Kα X-rays), based on the GGA-PBE geometry in Alexandria.
Peak positions follow from Bragg's law for the DFT cell and can differ from measured ones.

Structural model:
a = 4.1912 Å, b = 4.1912 Å, c = 14.8329 Å
α = 90.00°, β = 90.00°, γ = 90.00°
Space group I-4m2 (No. 119)
One atom of each set of equivalent atoms:
La (0.0000, 0.0000, 0.0000) [2 per cell]
La (0.0000, 0.5000, 0.2500) [2 per cell]
Be (0.0000, 0.0000, 0.4215) [4 per cell]
Ga (0.0000, 0.5000, 0.6596) [4 per cell]

Largest 8 diffraction maxima, by angle, 2θ from 10° to 90°:
2theta, I (rel.)
22.04, 36
27.91, 55
32.54, 100
37.13, 59
43.17, 36
48.12, 22
58.22, 31
72.44, 19


No. 2
LaBeGaPd3: theoretical X-ray powder pattern (Cu Kα X-rays), based on the GGA-PBE geometry in Alexandria.
Peak positions follow from Bragg's law for the DFT cell and can differ from measured ones.

Structural model:
a = 5.7651 Å, b = 12.1171 Å, c = 6.2722 Å
α = 90.00°, β = 90.00°, γ = 90.00°
Space group Cmcm (No. 63)
One atom of each set of equivalent atoms:
La (0.0000, 0.2149, 0.2500) [4 per cell]
Be (0.0000, 0.4697, 0.2500) [4 per cell]
Ga (0.0000, 0.1260, 0.7500) [4 per cell]
Pd (0.0000, 0.3322, 0.7500) [4 per cell]
Pd (0.2430, 0.0000, 0.0000) [8 per cell]

Largest 8 diffraction maxima, by angle, 2θ from 10° to 90°:
2theta, I (rel.)
30.55, 35
32.14, 100
32.83, 25
34.46, 83
41.44, 20
42.60, 87
42.98, 26
70.05, 20